Record 1
Simulated powder X-ray diffraction pattern of Rb2LiH6Ru for a wavelength of 1.5418 Å, from a crystal structure in Alexandria, relaxed with GGA-PBE.
Lines closer than 0.1° are merged.

Most intense lines, 10 to 90 degrees two-theta, low angle first:
hkl 0 0 1, 17.75 deg, d 4.997, intensity 14
hkl 1 0 1, 24.74 deg, d 3.598, intensity 100
hkl 1 1 0, 29.85 deg, d 2.994, intensity 78
hkl 1 1 1, 34.94 deg, d 2.568, intensity 15
hkl 0 2 1, 39.15 deg, d 2.301, intensity 31
hkl 1 0 2, 40.06 deg, d 2.251, intensity 33
hkl 2 1 1, 49.99 deg, d 1.824, intensity 28
hkl 0 2 2, 50.75 deg, d 1.799, intensity 17
hkl 3 0 0, 52.98 deg, d 1.728, intensity 15
hkl 2 1 2, 59.99 deg, d 1.542, intensity 20

Atomic structure:
Lattice parameters (Å, degrees): 5.9873 5.9873 4.9968 90.00 90.00 120.00
Space group P-3m1 (No. 164)
Asymmetric unit:
Rb: 0.3333 0.6667 0.2574 (multiplicity 2)
Li: 0.0000 0.0000 0.0000 (multiplicity 1)
H: 0.1340 0.2679 0.7081 (multiplicity 6)
Ru: 0.0000 0.0000 0.5000 (multiplicity 1)

***

Record 2
Simulated powder X-ray diffraction pattern of Rb2Li3ZrH12 for a wavelength of 1.5418 Å, from a crystal structure in Alexandria, relaxed with GGA-PBE.
Lines closer than 0.1° are merged.

Most intense lines, 10 to 90 degrees two-theta, low angle first:
hkl 0 0 3, 18.43 deg, d 4.813, intensity 30
hkl 0 1 2, 19.16 deg, d 4.632, intensity 45
hkl 1 1 0, 25.55 deg, d 3.486, intensity 100
hkl 1 1 3, 31.69 deg, d 2.823, intensity 57
hkl 0 1 5, 34.42 deg, d 2.605, intensity 44
hkl 2 0 5, 43.36 deg, d 2.087, intensity 22
hkl 3 0 0, 45.04 deg, d 2.013, intensity 21
hkl 0 3 3, 49.06 deg, d 1.857, intensity 17
hkl 1 2 5, 51.00 deg, d 1.791, intensity 29
hkl 2 2 0, 52.50 deg, d 1.743, intensity 16

Atomic structure:
Lattice parameters (Å, degrees): 6.9722 6.9722 14.4395 90.00 90.00 120.00
Space group R-3m (No. 166, hexagonal axes)
Asymmetric unit:
Rb: 0.0000 0.0000 0.1110 (multiplicity 6)
Li: 0.0000 0.5000 0.0000 (multiplicity 9)
Zr: 0.0000 0.0000 0.5000 (multiplicity 3)
H: 0.0183 0.5092 0.1269 (multiplicity 18)
H: 0.1084 0.5542 0.2829 (multiplicity 18)

***

Record 3
Simulated powder X-ray diffraction pattern of Li3ReH8 for a wavelength of 1.5418 Å, from a crystal structure in Alexandria, relaxed with GGA-PBE.
Lines closer than 0.1° are merged.

Most intense lines, 10 to 90 degrees two-theta, low angle first:
hkl 1 0 1, 21.65 deg, d 4.106, intensity 100
hkl 0 0 2, 24.59 deg, d 3.620, intensity 18
hkl 1 1 0, 25.27 deg, d 3.525, intensity 35
hkl 1 1 2, 35.55 deg, d 2.525, intensity 34
hkl 2 0 0, 36.04 deg, d 2.492, intensity 16
hkl 1 0 3, 41.58 deg, d 2.172, intensity 18
hkl 2 1 1, 42.43 deg, d 2.130, intensity 34
hkl 2 0 2, 44.12 deg, d 2.053, intensity 15
hkl 2 1 3, 56.17 deg, d 1.637, intensity 15
hkl 3 1 2, 64.48 deg, d 1.445, intensity 13

Atomic structure:
Lattice parameters (Å, degrees): 4.985 4.985 7.240 90.00 90.00 90.00
Space group I-42m (No. 121)
Asymmetric unit:
Li: 0.000 0.000 0.000 (multiplicity 2)
Li: 0.000 0.500 0.250 (multiplicity 4)
Re: 0.000 0.000 0.500 (multiplicity 2)
H: 0.138 0.138 0.693 (multiplicity 8)
H: 0.235 0.235 0.436 (multiplicity 8)

***

Record 4
Simulated powder X-ray diffraction pattern of Li3ReH7 for a wavelength of 1.5418 Å, from a crystal structure in Alexandria, relaxed with GGA-PBE.
Lines closer than 0.1° are merged.

Most intense lines, 10 to 90 degrees two-theta, low angle first:
hkl 1 1 0, 21.07 deg, d 4.217, intensity 100
hkl 1 1 -1, 23.47 deg, d 3.791, intensity 77
hkl 0 2 0, 23.96 deg, d 3.714, intensity 37
hkl 0 0 1, 26.33 deg, d 3.385, intensity 29
hkl 2 0 -1, 27.03 deg, d 3.299, intensity 27
hkl 2 0 0, 35.04 deg, d 2.561, intensity 16
hkl 0 2 1, 35.90 deg, d 2.502, intensity 31
hkl 2 2 -1, 36.43 deg, d 2.467, intensity 28
hkl 1 3 0, 40.47 deg, d 2.229, intensity 18
hkl 1 3 -1, 41.85 deg, d 2.159, intensity 17

Atomic structure:
Lattice parameters (Å, degrees): 6.673 7.428 4.410 90.00 129.87 90.00
Space group Cm (No. 8)
Asymmetric unit:
Li: 0.000 0.000 0.000 (multiplicity 2)
Li: 0.001 0.257 0.532 (multiplicity 4)
Re: 0.452 0.000 0.989 (multiplicity 2)
H: 0.112 0.000 0.646 (multiplicity 2)
H: 0.187 0.373 0.379 (multiplicity 4)
H: 0.207 0.500 0.988 (multiplicity 2)
H: 0.392 0.228 0.876 (multiplicity 4)
H: 0.394 0.000 0.324 (multiplicity 2)

***

Record 5
Simulated powder X-ray diffraction pattern of Li2ReH5 for a wavelength of 1.5418 Å, from a crystal structure in Alexandria, relaxed with GGA-PBE.
Lines closer than 0.1° are merged.

Most intense lines, 10 to 90 degrees two-theta, low angle first:
hkl 0 0 1, 18.24 deg, d 4.863, intensity 100
hkl 0 1 0, 26.70 deg, d 3.339, intensity 40
hkl 0 1 -1, 26.86 deg, d 3.319, intensity 39
hkl 1 0 0, 27.38 deg, d 3.257, intensity 73
hkl 1 -1 0, 35.83 deg, d 2.506, intensity 21
hkl 1 1 -1, 36.79 deg, d 2.443, intensity 20
hkl 0 0 2, 36.97 deg, d 2.432, intensity 16
hkl 0 1 1, 37.42 deg, d 2.403, intensity 18
hkl 0 1 -2, 37.79 deg, d 2.380, intensity 18
hkl 1 0 1, 38.05 deg, d 2.365, intensity 36

Atomic structure:
Lattice parameters (Å, degrees): 3.458 3.544 5.426 108.05 108.01 91.47
Space group P1 (No. 1)
Asymmetric unit:
Li: 0.000 0.000 0.000 (multiplicity 1)
Li: 0.296 0.327 0.586 (multiplicity 1)
Re: 0.667 0.698 0.328 (multiplicity 1)
H: 0.040 0.775 0.631 (multiplicity 1)
H: 0.117 0.563 0.225 (multiplicity 1)
H: 0.490 0.540 0.966 (multiplicity 1)
H: 0.589 0.914 0.629 (multiplicity 1)
H: 0.621 0.156 0.242 (multiplicity 1)

***

Record 6
Simulated powder X-ray diffraction pattern of LiZr2ReH for a wavelength of 1.5418 Å, from a crystal structure in Alexandria, relaxed with GGA-PBE.
Lines closer than 0.1° are merged.

Most intense lines, 10 to 90 degrees two-theta, low angle first:
hkl 1 0 0, 19.21 deg, d 4.620, intensity 61
hkl 1 0 1, 32.48 deg, d 2.757, intensity 35
hkl 1 1 1, 38.01 deg, d 2.367, intensity 100
hkl 2 0 0, 39.00 deg, d 2.310, intensity 47
hkl 2 1 0, 43.82 deg, d 2.066, intensity 15
hkl 2 1 1, 51.63 deg, d 1.770, intensity 19
hkl 2 2 0, 56.33 deg, d 1.633, intensity 16
hkl 2 0 2, 68.02 deg, d 1.378, intensity 18
hkl 3 1 1, 69.98 deg, d 1.344, intensity 33
hkl 2 2 2, 81.28 deg, d 1.184, intensity 11

Atomic structure:
Lattice parameters (Å, degrees): 4.620 4.620 3.435 90.00 90.00 90.00
Space group P4/mmm (No. 123)
Asymmetric unit:
Li: 0.000 0.000 0.000 (multiplicity 1)
Zr: 0.000 0.500 0.500 (multiplicity 2)
Re: 0.500 0.500 0.000 (multiplicity 1)
H: 0.000 0.000 0.500 (multiplicity 1)

***

Record 7
Simulated powder X-ray diffraction pattern of Li3H6Rh for a wavelength of 1.5418 Å, from a crystal structure in Alexandria, relaxed with GGA-PBE.
Lines closer than 0.1° are merged.

Most intense lines, 10 to 90 degrees two-theta, low angle first:
hkl 2 0 0, 21.27 deg, d 4.178, intensity 54
hkl 0 1 1, 21.66 deg, d 4.103, intensity 41
hkl 1 0 2, 23.59 deg, d 3.771, intensity 81
hkl 1 1 1, 24.16 deg, d 3.683, intensity 100
hkl 2 1 1, 30.54 deg, d 2.928, intensity 24
hkl 0 1 3, 37.22 deg, d 2.416, intensity 28
hkl 3 0 2, 38.74 deg, d 2.325, intensity 26
hkl 3 1 1, 39.09 deg, d 2.305, intensity 29
hkl 2 1 3, 43.27 deg, d 2.091, intensity 34
hkl 1 2 2, 45.53 deg, d 1.992, intensity 25

Atomic structure:
Lattice parameters (Å, degrees): 8.356 4.693 8.453 90.00 90.00 90.00
Space group Pnma (No. 62)
Asymmetric unit:
Li: 0.046 0.250 0.129 (multiplicity 4)
Li: 0.101 0.750 0.524 (multiplicity 4)
Li: 0.221 0.250 0.750 (multiplicity 4)
H: 0.103 0.005 0.325 (multiplicity 8)
H: 0.115 0.250 0.561 (multiplicity 4)
H: 0.152 0.000 0.967 (multiplicity 8)
H: 0.169 0.750 0.734 (multiplicity 4)
Rh: 0.226 0.250 0.398 (multiplicity 4)

***

Record 8
Simulated powder X-ray diffraction pattern of LiH6Rh4 for a wavelength of 1.5418 Å, from a crystal structure in Alexandria, relaxed with GGA-PBE.
Lines closer than 0.1° are merged.

Most intense lines, 10 to 90 degrees two-theta, low angle first:
hkl 0 2 0, 15.91 deg, d 5.570, intensity 88
hkl 0 1 2, 32.52 deg, d 2.753, intensity 50
hkl 0 4 1, 35.91 deg, d 2.501, intensity 39
hkl 0 3 2, 39.95 deg, d 2.257, intensity 68
hkl 1 0 -2, 40.09 deg, d 2.249, intensity 100
hkl 1 3 0, 41.20 deg, d 2.191, intensity 62
hkl 1 2 1, 43.39 deg, d 2.086, intensity 29
hkl 0 5 1, 43.63 deg, d 2.074, intensity 35
hkl 1 4 -1, 46.73 deg, d 1.944, intensity 46
hkl 1 5 2, 67.77 deg, d 1.383, intensity 31

Atomic structure:
Lattice parameters (Å, degrees): 2.795 11.141 5.852 90.00 103.79 90.00
Space group P2_1/m (No. 11)
Asymmetric unit:
Li: 0.225 0.250 0.448 (multiplicity 2)
H: 0.000 0.000 0.000 (multiplicity 2)
H: 0.038 0.250 0.086 (multiplicity 2)
H: 0.303 0.630 0.608 (multiplicity 4)
H: 0.379 0.152 0.759 (multiplicity 4)
Rh: 0.169 0.560 0.338 (multiplicity 4)
Rh: 0.458 0.625 0.920 (multiplicity 4)

***

Record 9
Simulated powder X-ray diffraction pattern of LiH8Rh4 for a wavelength of 1.5418 Å, from a crystal structure in Alexandria, relaxed with GGA-PBE.
Lines closer than 0.1° are merged.

Most intense lines, 10 to 90 degrees two-theta, low angle first:
hkl 0 1 0, 19.62 deg, d 4.524, intensity 100
hkl 1 0 -2, 37.95 deg, d 2.371, intensity 35
hkl 2 0 0, 38.09 deg, d 2.363, intensity 17
hkl 2 -1 0, 39.69 deg, d 2.271, intensity 31
hkl 0 2 0, 39.88 deg, d 2.261, intensity 31
hkl 1 -2 2, 46.00 deg, d 1.973, intensity 11
hkl -1 1 2, 46.29 deg, d 1.961, intensity 11
hkl 2 1 0, 46.52 deg, d 1.952, intensity 11
hkl -1 2 2, 61.48 deg, d 1.508, intensity 8
hkl 3 0 -2, 67.44 deg, d 1.389, intensity 10

Atomic structure:
Lattice parameters (Å, degrees): 4.807 4.817 5.559 107.20 90.02 100.10
Space group P-1 (No. 2)
Asymmetric unit:
Li: 0.000 0.000 0.000 (multiplicity 1)
H: 0.117 0.694 0.671 (multiplicity 2)
H: 0.124 0.696 0.178 (multiplicity 2)
H: 0.378 0.299 0.572 (multiplicity 2)
H: 0.386 0.304 0.076 (multiplicity 2)
Rh: 0.248 0.498 0.874 (multiplicity 2)
Rh: 0.252 0.496 0.374 (multiplicity 2)

***

Record 10
Simulated powder X-ray diffraction pattern of Li3H3Rh for a wavelength of 1.5418 Å, from a crystal structure in Alexandria, relaxed with GGA-PBE.
Lines closer than 0.1° are merged.

Most intense lines, 10 to 90 degrees two-theta, low angle first:
hkl 1 0 1, 13.50 deg, d 6.557, intensity 64
hkl 0 0 2, 15.65 deg, d 5.663, intensity 100
hkl 2 0 1, 23.48 deg, d 3.789, intensity 92
hkl 1 0 3, 26.07 deg, d 3.417, intensity 58
hkl 0 1 1, 30.76 deg, d 2.907, intensity 55
hkl 1 1 2, 35.59 deg, d 2.522, intensity 38
hkl 2 1 0, 37.34 deg, d 2.408, intensity 33
hkl 2 1 2, 40.71 deg, d 2.216, intensity 33
hkl 1 1 4, 45.42 deg, d 1.997, intensity 40
hkl 3 1 3, 51.72 deg, d 1.768, intensity 32

Atomic structure:
Lattice parameters (Å, degrees): 8.041 3.008 11.326 90.00 90.00 90.00
Space group Pnma (No. 62)
Asymmetric unit:
Li: 0.116 0.250 0.005 (multiplicity 4)
Li: 0.117 0.750 0.662 (multiplicity 4)
Li: 0.225 0.250 0.352 (multiplicity 4)
H: 0.025 0.750 0.849 (multiplicity 4)
H: 0.052 0.750 0.341 (multiplicity 4)
H: 0.212 0.750 0.066 (multiplicity 4)
Rh: 0.083 0.750 0.190 (multiplicity 4)

***

Record 11
Simulated powder X-ray diffraction pattern of LiY2H6Rh2 for a wavelength of 1.5418 Å, from a crystal structure in Alexandria, relaxed with GGA-PBE.
Lines closer than 0.1° are merged.

Most intense lines, 10 to 90 degrees two-theta, low angle first:
hkl 1 0 1, 22.21 deg, d 4.003, intensity 39
hkl 0 1 2, 23.84 deg, d 3.732, intensity 50
hkl 0 1 5, 33.23 deg, d 2.696, intensity 82
hkl 1 1 0, 37.94 deg, d 2.371, intensity 100
hkl 1 0 7, 41.66 deg, d 2.168, intensity 33
hkl 0 1 8, 46.26 deg, d 1.962, intensity 27
hkl 2 0 5, 51.31 deg, d 1.781, intensity 24
hkl 1 2 5, 65.56 deg, d 1.424, intensity 22
hkl 3 0 0, 68.54 deg, d 1.369, intensity 17
hkl 1 2 8, 74.42 deg, d 1.275, intensity 14

Atomic structure:
Lattice parameters (Å, degrees): 4.7426 4.7426 17.8704 90.00 90.00 120.00
Space group R-3m (No. 166, hexagonal axes)
Asymmetric unit:
Li: 0.0000 0.0000 0.0000 (multiplicity 3)
Y: 0.0000 0.0000 0.2264 (multiplicity 6)
H: 0.0135 0.5068 0.7688 (multiplicity 18)
Rh: 0.0000 0.0000 0.3804 (multiplicity 6)

***

Record 12
Simulated powder X-ray diffraction pattern of Li5H12Ru2 for a wavelength of 1.5418 Å, from a crystal structure in Alexandria, relaxed with GGA-PBE.
Lines closer than 0.1° are merged.

Most intense lines, 10 to 90 degrees two-theta, low angle first:
hkl 2 0 0, 18.02 deg, d 4.921, intensity 100
hkl 0 0 1, 18.16 deg, d 4.885, intensity 99
hkl 2 0 -1, 23.72 deg, d 3.752, intensity 47
hkl 2 0 1, 27.54 deg, d 3.239, intensity 31
hkl 0 2 0, 30.04 deg, d 2.975, intensity 23
hkl 0 2 1, 35.29 deg, d 2.543, intensity 75
hkl 0 0 2, 36.80 deg, d 2.443, intensity 18
hkl 2 2 -1, 38.64 deg, d 2.330, intensity 45
hkl 2 2 1, 41.20 deg, d 2.191, intensity 27
hkl 4 2 2, 65.60 deg, d 1.423, intensity 17

Atomic structure:
Lattice parameters (Å, degrees): 9.949 5.950 4.938 90.00 98.39 90.00
Space group C2/m (No. 12)
Asymmetric unit:
Li: 0.000 0.000 0.000 (multiplicity 2)
Li: 0.131 0.500 0.993 (multiplicity 4)
Li: 0.242 0.000 0.456 (multiplicity 4)
H: 0.041 0.500 0.339 (multiplicity 4)
H: 0.074 0.000 0.641 (multiplicity 4)
H: 0.107 0.228 0.256 (multiplicity 8)
H: 0.148 0.261 0.732 (multiplicity 8)
Ru: 0.000 0.251 0.500 (multiplicity 4)